[1]
# LaNi2AsN
Simulated X-ray diffraction stick pattern, Cu Kα (λ = 1.5418 Å). Input: a cell relaxed with PBE.

Top 10 peaks for 2θ from 10° to 90°, in order of rising 2θ:
index  2θ/deg  I_rel
1 3 0  33.78  34
0 4 1  33.95  29
1 1 2  36.20  100
0 4 2  40.84  18
1 1 3  46.73  14
2 0 0  49.19  19
0 0 4  52.27  22
1 5 2  54.00  11
1 5 3  62.24  13
1 7 1  63.80  17

Structural model:
```
data_LaNi2AsN
_cell_length_a 3.704
_cell_length_b 11.406
_cell_length_c 6.993
_cell_angle_alpha 90.00
_cell_angle_beta 90.00
_cell_angle_gamma 90.00
_symmetry_space_group_name_H-M 'C m c m'
_symmetry_Int_Tables_number 63
_symmetry_space_group_name_Hall '-C 2c 2'
loop_
_atom_site_label
_atom_site_type_symbol
_atom_site_fract_x
_atom_site_fract_y
_atom_site_fract_z
La1 La 0.000 0.038 0.250
Ni1 Ni 0.000 0.332 0.053
As1 As 0.000 0.232 0.750
N1 N 0.000 0.500 0.000
```

=====

[2]
# NpAg3
Simulated X-ray diffraction stick pattern, Cu Kα (λ = 1.5418 Å). Input: a cell relaxed with PBE.

Top 10 peaks for 2θ from 10° to 90°, in order of rising 2θ:
index  2θ/deg  I_rel
1 0 1  22.26  13
1 1 2  35.08  100
2 0 0  39.88  35
0 0 4  42.40  15
2 1 1  46.14  4
2 2 0  57.67  12
2 0 4  59.61  21
3 1 2  69.33  27
1 1 6  72.83  12
2 2 4  74.15  11

Structural model:
```
data_NpAg3
_cell_length_a 4.521
_cell_length_b 4.521
_cell_length_c 8.528
_cell_angle_alpha 90.00
_cell_angle_beta 90.00
_cell_angle_gamma 90.00
_symmetry_space_group_name_H-M 'I 4/m m m'
_symmetry_Int_Tables_number 139
_symmetry_space_group_name_Hall '-I 4 2'
loop_
_atom_site_label
_atom_site_type_symbol
_atom_site_fract_x
_atom_site_fract_y
_atom_site_fract_z
Np1 Np 0.000 0.000 0.000
Ag1 Ag 0.000 0.000 0.500
Ag2 Ag 0.000 0.500 0.250
```

=====

[3]
# Mg14ZrGa
Simulated X-ray diffraction stick pattern, Cu Kα (λ = 1.5418 Å). Input: a cell relaxed with PBE.

Top 10 peaks for 2θ from 10° to 90°, in order of rising 2θ:
index  2θ/deg  I_rel
1 0 2  18.14  20
0 2 2  33.00  28
4 0 0  35.03  40
2 0 4  36.76  55
2 2 2  37.50  100
4 2 2  48.89  18
0 2 6  57.89  18
6 2 2  64.47  20
4 2 6  69.49  20
2 4 4  71.98  14

Structural model:
```
data_Mg14ZrGa
_cell_length_a 10.247
_cell_length_b 6.219
_cell_length_c 11.128
_cell_angle_alpha 90.00
_cell_angle_beta 90.00
_cell_angle_gamma 90.00
_symmetry_space_group_name_H-M 'A m m 2'
_symmetry_Int_Tables_number 38
loop_
_symmetry_equiv_pos_as_xyz
'x,y,z'
'-x,-y,z'
'-x,y,z'
'x,-y,z'
'x,y+1/2,z+1/2'
'-x,-y+1/2,z+1/2'
'-x,y+1/2,z+1/2'
'x,-y+1/2,z+1/2'
loop_
_atom_site_label
_atom_site_type_symbol
_atom_site_fract_x
_atom_site_fract_y
_atom_site_fract_z
Mg1 Mg 0.000 0.000 0.000
Mg2 Mg 0.000 0.000 0.500
Mg3 Mg 0.000 0.249 0.250
Mg4 Mg 0.250 0.000 0.664
Mg5 Mg 0.253 0.249 0.416
Mg6 Mg 0.255 0.000 0.164
Mg7 Mg 0.500 0.247 0.751
Zr1 Zr 0.500 0.000 0.503
Ga1 Ga 0.500 0.000 0.997
```

=====

[4]
# MgNb4I4O8
Simulated X-ray diffraction stick pattern, Cu Kα (λ = 1.5418 Å). Input: a cell relaxed with PBE.

Top 10 peaks for 2θ from 10° to 90°, in order of rising 2θ:
index  2θ/deg  I_rel
0 0 3  10.63  19
1 0 1  23.46  87
0 1 4  26.61  100
1 1 -1  32.65  19
1 1 5  37.23  60
1 0 9  40.11  23
0 2 0  45.71  19
2 0 0  47.38  18
1 2 1  52.00  18
2 1 -4  55.17  29

Structural model:
```
data_MgNb4I4O8
_cell_length_a 3.837
_cell_length_b 3.970
_cell_length_c 24.964
_cell_angle_alpha 90.00
_cell_angle_beta 90.07
_cell_angle_gamma 90.00
_symmetry_space_group_name_H-M 'P 1 m 1'
_symmetry_Int_Tables_number 6
loop_
_symmetry_equiv_pos_as_xyz
'x,y,z'
'x,-y,z'
loop_
_atom_site_label
_atom_site_type_symbol
_atom_site_fract_x
_atom_site_fract_y
_atom_site_fract_z
Mg1 Mg 0.000 0.000 0.000
Nb1 Nb 0.002 0.000 0.788
Nb2 Nb 0.002 0.500 0.680
Nb3 Nb 0.499 0.500 0.208
Nb4 Nb 0.501 0.000 0.316
I1 I 0.000 0.000 0.590
I2 I 0.500 0.000 0.077
I3 I 0.500 0.500 0.406
I4 I 0.986 0.500 0.926
O1 O 0.000 0.000 0.321
O2 O 0.002 0.000 0.709
O3 O 0.002 0.500 0.765
O4 O 0.500 0.000 0.231
O5 O 0.500 0.500 0.287
O6 O 0.502 0.000 0.812
O7 O 0.502 0.500 0.675
O8 O 0.999 0.500 0.184
```